Entry 1:
Computed powder XRD pattern of MgPt4O8 for Cu Kα (weighted mean of Kα1 and Kα2), from DFT lattice parameters and positions (PBE).
Intensities are scaled so that the largest is 100.

Structural model:
```
MgPt4O8
1.0
0.0000 4.4594 4.4594
4.4594 0.0000 4.4594
4.4594 4.4594 0.0000
Mg Pt O
1 4 8
Direct
0.0000 0.0000 0.0000 Mg
0.1286 0.6238 0.6238 Pt
0.6238 0.1286 0.6238 Pt
0.6238 0.6238 0.1286 Pt
0.6238 0.6238 0.6238 Pt
0.3931 0.3931 0.3931 O
0.3931 0.3931 0.8207 O
0.3931 0.8207 0.3931 O
0.4124 0.8625 0.8625 O
0.8207 0.3931 0.3931 O
0.8625 0.4124 0.8625 O
0.8625 0.8625 0.4124 O
0.8625 0.8625 0.8625 O
```

Peak list (10 most intense, 15° ≤ 2θ ≤ 90°, in order of falling intensity)
17.22 deg, I = 100; 33.32 deg, I = 63; 34.85 deg, I = 49; 40.46 deg, I = 44; 58.55 deg, I = 32; 53.38 deg, I = 25; 69.97 deg, I = 23; 44.27 deg, I = 22; 61.51 deg, I = 20; 83.20 deg, I = 14

=====

Entry 2:
Computed powder XRD pattern of MgPtO for Cu Kα (weighted mean of Kα1 and Kα2), from DFT lattice parameters and positions (PBE).
Intensities are scaled so that the largest is 100.

Structural model:
```
MgPtO
1.0
-1.4289 1.4289 9.3241
1.4289 -1.4289 9.3241
1.4289 1.4289 -9.3241
Mg Pt O
2 2 2
Direct
0.1864 0.1864 0.0000 Mg
0.8136 0.8136 0.0000 Mg
0.4333 0.4333 0.0000 Pt
0.5667 0.5667 0.0000 Pt
0.3070 0.3070 0.0000 O
0.6930 0.6930 0.0000 O
```

Peak list (10 most intense, 15° ≤ 2θ ≤ 90°, in order of falling intensity)
31.68 deg, I = 100; 46.61 deg, I = 42; 44.85 deg, I = 36; 60.65 deg, I = 28; 38.63 deg, I = 26; 39.74 deg, I = 20; 74.40 deg, I = 18; 28.72 deg, I = 17; 54.72 deg, I = 16; 83.98 deg, I = 16

=====

Entry 3:
Computed powder XRD pattern of MgPtO for Cu Kα (weighted mean of Kα1 and Kα2), from DFT lattice parameters and positions (PBE).
Intensities are scaled so that the largest is 100.

Structural model:
```
MgPtO
1.0
2.5425 -1.4686 0.0000
2.5425 1.4686 0.0000
-1.6916 0.0000 10.0955
Mg Pt O
2 2 2
Direct
0.0000 0.0000 0.0000 Mg
0.0884 0.0884 0.2614 Mg
0.2358 0.2358 0.7064 Pt
0.8286 0.8286 0.4832 Pt
0.3017 0.3017 0.9047 O
0.7167 0.7167 0.1468 O
```

Peak list (10 most intense, 15° ≤ 2θ ≤ 90°, in order of falling intensity)
38.39 deg, I = 100; 35.80 deg, I = 83; 41.17 deg, I = 73; 46.64 deg, I = 52; 42.84 deg, I = 47; 35.57 deg, I = 46; 63.34 deg, I = 37; 37.30 deg, I = 29; 63.79 deg, I = 27; 74.79 deg, I = 24

=====

Entry 4:
Computed powder XRD pattern of Mg5Pt3O12 for Cu Kα (weighted mean of Kα1 and Kα2), from DFT lattice parameters and positions (PBE).
Intensities are scaled so that the largest is 100.

Structural model:
```
Mg5Pt3O12
1.0
8.9826 0.0000 0.0000
-4.4913 7.7792 0.0000
0.0000 0.0000 3.0885
Mg Pt O
5 3 12
Direct
0.0000 0.6868 0.0000 Mg
0.3132 0.3132 0.0000 Mg
0.3333 0.6667 0.0000 Mg
0.6667 0.3333 0.0000 Mg
0.6868 0.0000 0.0000 Mg
0.0000 0.3184 0.5000 Pt
0.3184 0.0000 0.5000 Pt
0.6816 0.6816 0.5000 Pt
0.0000 0.1759 0.0000 O
0.0000 0.4581 0.0000 O
0.1759 0.0000 0.0000 O
0.1900 0.7403 0.5000 O
0.2597 0.4496 0.5000 O
0.4496 0.2597 0.5000 O
0.4581 0.0000 0.0000 O
0.5419 0.5419 0.0000 O
0.5504 0.8100 0.5000 O
0.7403 0.1900 0.5000 O
0.8100 0.5504 0.5000 O
0.8241 0.8241 0.0000 O
```

Peak list (10 most intense, 15° ≤ 2θ ≤ 90°, in order of falling intensity)
19.77 deg, I = 100; 35.27 deg, I = 58; 34.59 deg, I = 35; 50.23 deg, I = 31; 62.42 deg, I = 25; 40.16 deg, I = 15; 45.68 deg, I = 15; 54.02 deg, I = 11; 71.04 deg, I = 11; 28.91 deg, I = 10

=====

Entry 5:
Computed powder XRD pattern of MgPtO for Cu Kα (weighted mean of Kα1 and Kα2), from DFT lattice parameters and positions (PBE).
Intensities are scaled so that the largest is 100.

Structural model:
```
MgPtO
1.0
-1.7229 2.1113 5.3850
1.7229 -2.1113 5.3850
1.7229 2.1113 -5.3850
Mg Pt O
2 2 2
Direct
0.2014 0.2014 0.0000 Mg
0.7986 0.7986 0.0000 Mg
0.0000 0.5000 0.5000 Pt
0.5000 0.0000 0.5000 Pt
0.3038 0.8038 0.5000 O
0.6962 0.1962 0.5000 O
```

Peak list (10 most intense, 15° ≤ 2θ ≤ 90°, in order of falling intensity)
16.46 deg, I = 100; 37.60 deg, I = 88; 33.57 deg, I = 50; 47.99 deg, I = 39; 33.28 deg, I = 32; 42.83 deg, I = 21; 62.33 deg, I = 19; 46.18 deg, I = 16; 55.29 deg, I = 15; 74.99 deg, I = 12

=====

Entry 6:
Computed powder XRD pattern of Tb2MgPtO5 for Cu Kα (weighted mean of Kα1 and Kα2), from DFT lattice parameters and positions (PBE).
Intensities are scaled so that the largest is 100.

Structural model:
```
Tb2MgPtO5
1.0
6.4779 0.0000 0.0000
0.0000 6.4779 0.0000
0.0000 0.0000 5.8106
Tb Mg Pt O
4 2 2 10
Direct
0.1727 0.3273 0.0000 Tb
0.3273 0.8273 0.0000 Tb
0.6727 0.1727 0.0000 Tb
0.8273 0.6727 0.0000 Tb
0.0000 0.0000 0.5000 Mg
0.5000 0.5000 0.5000 Mg
0.0000 0.5000 0.5000 Pt
0.5000 0.0000 0.5000 Pt
0.0000 0.0000 0.0000 O
0.1466 0.6466 0.2460 O
0.1466 0.6466 0.7540 O
0.3534 0.1466 0.2460 O
0.3534 0.1466 0.7540 O
0.5000 0.5000 0.0000 O
0.6466 0.8534 0.2460 O
0.6466 0.8534 0.7540 O
0.8534 0.3534 0.2460 O
0.8534 0.3534 0.7540 O
```

Peak list (10 most intense, 15° ≤ 2θ ≤ 90°, in order of falling intensity)
31.63 deg, I = 100; 19.38 deg, I = 68; 30.81 deg, I = 67; 34.60 deg, I = 58; 47.04 deg, I = 51; 44.15 deg, I = 43; 39.34 deg, I = 22; 55.26 deg, I = 21; 50.76 deg, I = 21; 36.63 deg, I = 18

=====

Entry 7:
Computed powder XRD pattern of TmMgPtO4 for Cu Kα (weighted mean of Kα1 and Kα2), from DFT lattice parameters and positions (PBE).
Intensities are scaled so that the largest is 100.

Structural model:
```
TmMgPtO4
1.0
-3.1533 3.2563 4.5113
3.1533 -3.2563 4.5113
3.1533 3.2563 -4.5113
Tm Mg Pt O
2 2 2 8
Direct
0.0000 0.0000 0.0000 Tm
0.5000 0.0000 0.5000 Tm
0.3796 0.6296 0.7500 Mg
0.6204 0.3704 0.2500 Mg
0.0000 0.0000 0.5000 Pt
0.0000 0.5000 0.0000 Pt
0.2093 0.7468 0.4625 O
0.2156 0.2532 0.9625 O
0.2742 0.2561 0.4819 O
0.2742 0.7922 0.0181 O
0.7258 0.2078 0.9819 O
0.7258 0.7439 0.5181 O
0.7844 0.7468 0.0375 O
0.7907 0.2532 0.5375 O
```

Peak list (10 most intense, 15° ≤ 2θ ≤ 90°, in order of falling intensity)
16.79 deg, I = 100; 17.15 deg, I = 74; 33.06 deg, I = 73; 39.79 deg, I = 60; 33.95 deg, I = 53; 57.67 deg, I = 49; 34.71 deg, I = 48; 32.50 deg, I = 44; 32.80 deg, I = 35; 39.97 deg, I = 29

=====

Entry 8:
Computed powder XRD pattern of Pu2MgO6 for Cu Kα (weighted mean of Kα1 and Kα2), from DFT lattice parameters and positions (PBE).
Intensities are scaled so that the largest is 100.

Structural model:
```
Pu2MgO6
1.0
5.0357 0.0000 0.0000
0.0000 5.5046 0.0000
0.0000 0.0000 9.2580
Pu Mg O
4 2 12
Direct
0.0000 0.0000 0.1849 Pu
0.0000 0.0000 0.8151 Pu
0.5000 0.5000 0.3151 Pu
0.5000 0.5000 0.6849 Pu
0.0000 0.5000 0.0000 Mg
0.5000 0.0000 0.5000 Mg
0.1868 0.1636 0.0000 O
0.2249 0.6706 0.1689 O
0.2249 0.6706 0.8311 O
0.2751 0.1706 0.3311 O
0.2751 0.1706 0.6689 O
0.3132 0.6636 0.5000 O
0.6868 0.3364 0.5000 O
0.7249 0.8294 0.3311 O
0.7249 0.8294 0.6689 O
0.7751 0.3294 0.1689 O
0.7751 0.3294 0.8311 O
0.8132 0.8364 0.0000 O
```

Peak list (10 most intense, 15° ≤ 2θ ≤ 90°, in order of falling intensity)
23.95 deg, I = 100; 30.86 deg, I = 62; 20.07 deg, I = 42; 33.28 deg, I = 39; 49.57 deg, I = 38; 19.17 deg, I = 37; 34.07 deg, I = 36; 47.82 deg, I = 29; 18.75 deg, I = 23; 53.12 deg, I = 23